(1)
Simulated XRD peak list
Compound: Nd2Mn17C2
Radiation: Cu Kα, 1.54184 Å
Structure: a DFT-relaxed cell (GGA-PBE, the Materials Project)
Kinematic intensities with the Lorentz-polarization factor, no thermal factor.

Structural model:
Lattice parameters (Å, degrees): 6.468 6.468 6.459 96.39 96.39 83.87
Atoms (fractional coordinates):
Nd 0.145 0.145 0.338
Nd 0.855 0.855 0.662
Mn 0.000 0.500 0.000
Mn 0.156 0.156 0.865
Mn 0.166 0.631 0.336
Mn 0.220 0.497 0.718
Mn 0.232 0.768 0.000
Mn 0.369 0.834 0.664
Mn 0.408 0.408 0.093
Mn 0.497 0.220 0.718
Mn 0.500 0.000 0.000
Mn 0.500 0.500 0.500
Mn 0.503 0.780 0.282
Mn 0.592 0.592 0.907
Mn 0.631 0.166 0.336
Mn 0.768 0.232 0.000
Mn 0.780 0.503 0.282
Mn 0.834 0.369 0.664
Mn 0.844 0.844 0.135
C 0.000 0.500 0.500
C 0.500 0.000 0.500

Largest 10 diffraction maxima, in order of rising 2θ, 2θ from 10° to 90°:
| 2theta | intensity |
| --- | --- |
| 29.99 | 54 |
| 32.51 | 23 |
| 36.03 | 29 |
| 37.78 | 45 |
| 41.80 | 32 |
| 41.94 | 60 |
| 42.39 | 100 |
| 43.40 | 28 |
| 43.93 | 53 |
| 61.96 | 35 |

=====

(2)
Simulated XRD peak list
Compound: Nd2Mn22C3
Radiation: Cu Kα, 1.54184 Å
Structure: a DFT-relaxed cell (GGA-PBE, the Materials Project)
Kinematic intensities with the Lorentz-polarization factor, no thermal factor.

Structural model:
Lattice parameters (Å, degrees): 7.717 7.717 6.451 114.35 114.35 79.32
Atoms (fractional coordinates):
Nd 0.248 0.248 0.374
Nd 0.752 0.752 0.626
Mn 0.000 0.000 0.500
Mn 0.000 0.500 0.000
Mn 0.075 0.829 0.142
Mn 0.079 0.677 0.433
Mn 0.171 0.925 0.858
Mn 0.173 0.588 0.823
Mn 0.250 0.250 0.881
Mn 0.322 0.582 0.258
Mn 0.323 0.921 0.567
Mn 0.412 0.827 0.177
Mn 0.418 0.678 0.742
Mn 0.500 0.000 0.000
Mn 0.500 0.500 0.000
Mn 0.582 0.322 0.258
Mn 0.588 0.173 0.823
Mn 0.677 0.079 0.433
Mn 0.678 0.418 0.742
Mn 0.750 0.750 0.119
Mn 0.827 0.412 0.177
Mn 0.829 0.075 0.142
Mn 0.921 0.323 0.567
Mn 0.925 0.171 0.858
C 0.000 0.500 0.500
C 0.500 0.000 0.500
C 0.500 0.500 0.500

Largest 10 diffraction maxima, in order of rising 2θ, 2θ from 10° to 90°:
| 2theta | intensity |
| --- | --- |
| 30.42 | 21 |
| 30.56 | 32 |
| 35.42 | 32 |
| 39.72 | 49 |
| 40.11 | 100 |
| 40.26 | 48 |
| 40.35 | 68 |
| 40.82 | 66 |
| 43.07 | 44 |
| 50.12 | 20 |

=====

(3)
Simulated XRD peak list
Compound: Sc2MnC
Radiation: Cu Kα, 1.54184 Å
Structure: a DFT-relaxed cell (GGA-PBE, the Materials Project)
Kinematic intensities with the Lorentz-polarization factor, no thermal factor.

Structural model:
Lattice parameters (Å, degrees): 5.918 5.918 5.918 90.00 90.00 90.00
Atoms (fractional coordinates):
Sc 0.000 0.000 0.000
Sc 0.000 0.500 0.500
Sc 0.250 0.250 0.250
Sc 0.250 0.750 0.750
Sc 0.500 0.000 0.500
Sc 0.500 0.500 0.000
Sc 0.750 0.250 0.750
Sc 0.750 0.750 0.250
Mn 0.250 0.250 0.750
Mn 0.250 0.750 0.250
Mn 0.750 0.250 0.250
Mn 0.750 0.750 0.750
C 0.000 0.000 0.500
C 0.000 0.500 0.000
C 0.500 0.000 0.000
C 0.500 0.500 0.500

Largest 10 diffraction maxima, in order of rising 2θ, 2θ from 10° to 90°:
| 2theta | intensity |
| --- | --- |
| 26.08 | 14 |
| 30.21 | 12 |
| 43.24 | 100 |
| 51.20 | 7 |
| 53.65 | 3 |
| 62.81 | 15 |
| 69.20 | 3 |
| 71.27 | 4 |
| 79.32 | 28 |
| 85.21 | 2 |

=====

(4)
Simulated XRD peak list
Compound: Mn5SiC
Radiation: Cu Kα, 1.54184 Å
Structure: a DFT-relaxed cell (GGA-PBE, the Materials Project)
Kinematic intensities with the Lorentz-polarization factor, no thermal factor.

Structural model:
Lattice parameters (Å, degrees): 6.360 6.360 7.497 90.00 90.00 76.13
Atoms (fractional coordinates):
Mn 0.016 0.693 0.065
Mn 0.016 0.693 0.435
Mn 0.033 0.967 0.750
Mn 0.201 0.564 0.750
Mn 0.307 0.984 0.065
Mn 0.307 0.984 0.435
Mn 0.366 0.634 0.250
Mn 0.374 0.374 0.000
Mn 0.374 0.374 0.500
Mn 0.436 0.799 0.750
Mn 0.564 0.201 0.250
Mn 0.626 0.626 0.000
Mn 0.626 0.626 0.500
Mn 0.634 0.366 0.750
Mn 0.693 0.016 0.565
Mn 0.693 0.016 0.935
Mn 0.799 0.436 0.250
Mn 0.967 0.033 0.250
Mn 0.984 0.307 0.565
Mn 0.984 0.307 0.935
Si 0.166 0.324 0.250
Si 0.324 0.166 0.750
Si 0.676 0.834 0.250
Si 0.834 0.676 0.750
C 0.307 0.693 0.535
C 0.307 0.693 0.965
C 0.693 0.307 0.035
C 0.693 0.307 0.465

Largest 10 diffraction maxima, in order of rising 2θ, 2θ from 10° to 90°:
| 2theta | intensity |
| --- | --- |
| 38.88 | 26 |
| 42.90 | 32 |
| 43.14 | 100 |
| 43.46 | 37 |
| 43.99 | 48 |
| 44.61 | 64 |
| 46.87 | 52 |
| 49.57 | 27 |
| 50.59 | 25 |
| 80.72 | 27 |